No. 1
Simulated XRD peak list of Pr8NiAg2 for Cu Kα (weighted mean of Kα1 and Kα2), from the GGA-PBE geometry in Alexandria.

Top 10 peaks for 2θ = 10–90°, in order of rising 2θ:
2θ 28.8, d 3.095, rel. 31; 2θ 29.5, d 3.028, rel. 46; 2θ 29.9, d 2.991, rel. 33; 2θ 30.8, d 2.906, rel. 100; 2θ 31.0, d 2.881, rel. 71; 2θ 31.9, d 2.809, rel. 38; 2θ 34.9, d 2.569, rel. 32; 2θ 37.5, d 2.399, rel. 19; 2θ 39.2, d 2.296, rel. 26; 2θ 60.5, d 1.530, rel. 17

```
data_Pr8NiAg2
_cell_length_a 9.1502
_cell_length_b 9.1502
_cell_length_c 6.3530
_cell_angle_alpha 102.71
_cell_angle_beta 102.71
_cell_angle_gamma 130.59
_space_group_name_H-M_alt 'P 1'
_space_group_IT_number 1
_space_group_name_Hall 'P 1'
loop_
_atom_site_label
_atom_site_type_symbol
_atom_site_fract_x
_atom_site_fract_y
_atom_site_fract_z
Pr1 Pr 0.0000 0.0000 0.0000
Pr2 Pr 0.0820 0.4756 0.1782
Pr3 Pr 0.1239 0.8990 0.5070
Pr4 Pr 0.4430 0.6733 0.8736
Pr5 Pr 0.4756 0.0820 0.1782
Pr6 Pr 0.5362 0.5362 0.3879
Pr7 Pr 0.6733 0.4430 0.8736
Pr8 Pr 0.8990 0.1239 0.5070
Ni1 Ni 0.2837 0.2837 0.8717
Ag1 Ag 0.0004 0.5573 0.6772
Ag2 Ag 0.5573 0.0004 0.6772
```


No. 2
Simulated XRD peak list of Ag6ClOF2 for Cu Kα (weighted mean of Kα1 and Kα2), from the GGA-PBE geometry in Alexandria.

Top 10 peaks for 2θ = 10–90°, in order of rising 2θ:
2θ 14.5, d 6.103, rel. 65; 2θ 20.8, d 4.265, rel. 56; 2θ 23.9, d 3.724, rel. 58; 2θ 30.7, d 2.913, rel. 45; 2θ 32.1, d 2.785, rel. 97; 2θ 35.5, d 2.528, rel. 100; 2θ 37.2, d 2.416, rel. 68; 2θ 38.9, d 2.317, rel. 88; 2θ 39.3, d 2.290, rel. 74; 2θ 42.4, d 2.132, rel. 74

```
data_Ag6ClOF2
_cell_length_a 5.7991
_cell_length_b 5.7991
_cell_length_c 6.2981
_cell_angle_alpha 102.01
_cell_angle_beta 102.01
_cell_angle_gamma 65.33
_space_group_name_H-M_alt 'P 1'
_space_group_IT_number 1
_space_group_name_Hall 'P 1'
loop_
_atom_site_label
_atom_site_type_symbol
_atom_site_fract_x
_atom_site_fract_y
_atom_site_fract_z
Ag1 Ag 0.1134 0.6625 0.6360
Ag2 Ag 0.3197 0.3197 0.1952
Ag3 Ag 0.3375 0.8866 0.3640
Ag4 Ag 0.6625 0.1134 0.6360
Ag5 Ag 0.6803 0.6803 0.8048
Ag6 Ag 0.8866 0.3375 0.3640
Cl1 Cl 0.0000 0.0000 0.0000
O1 O 0.5000 0.5000 0.5000
F1 F 0.2997 0.2997 0.8366
F2 F 0.7003 0.7003 0.1634
```


No. 3
Simulated XRD peak list of K7NbS6O24 for Cu Kα (weighted mean of Kα1 and Kα2), from the GGA-PBE geometry in Alexandria.

Top 10 peaks for 2θ = 10–90°, in order of rising 2θ:
2θ 11.5, d 7.726, rel. 24; 2θ 16.2, d 5.464, rel. 13; 2θ 19.9, d 4.461, rel. 10; 2θ 25.8, d 3.456, rel. 100; 2θ 30.6, d 2.920, rel. 34; 2θ 34.8, d 2.576, rel. 13; 2θ 40.4, d 2.231, rel. 9; 2θ 42.2, d 2.143, rel. 14; 2θ 48.6, d 1.875, rel. 10; 2θ 51.6, d 1.773, rel. 16

```
data_K7NbS6O24
_cell_length_a 9.4618
_cell_length_b 9.4618
_cell_length_c 9.4618
_cell_angle_alpha 109.45
_cell_angle_beta 109.45
_cell_angle_gamma 109.45
_space_group_name_H-M_alt 'P 1'
_space_group_IT_number 1
_space_group_name_Hall 'P 1'
loop_
_atom_site_label
_atom_site_type_symbol
_atom_site_fract_x
_atom_site_fract_y
_atom_site_fract_z
K1 K 0.0000 0.0000 0.0000
K2 K 0.1649 0.8223 0.6625
K3 K 0.1777 0.3375 0.8351
K4 K 0.3375 0.8351 0.1777
K5 K 0.6625 0.1649 0.8223
K6 K 0.8223 0.6625 0.1649
K7 K 0.8351 0.1777 0.3375
Nb1 Nb 0.5000 0.5000 0.5000
S1 S 0.1176 0.4682 0.2448
S2 S 0.2448 0.1176 0.4682
S3 S 0.4682 0.2448 0.1176
S4 S 0.5318 0.7552 0.8824
S5 S 0.7552 0.8824 0.5318
S6 S 0.8824 0.5318 0.7552
O1 O 0.0247 0.7127 0.8526
O2 O 0.0722 0.5903 0.3336
O3 O 0.1390 0.1858 0.5151
O4 O 0.1474 0.9753 0.2873
O5 O 0.1858 0.5151 0.1390
O6 O 0.2669 0.4778 0.3924
O7 O 0.2873 0.1474 0.9753
O8 O 0.3336 0.0722 0.5903
O9 O 0.3924 0.2669 0.4778
O10 O 0.4097 0.6664 0.9278
O11 O 0.4778 0.3924 0.2669
O12 O 0.4849 0.8610 0.8142
O13 O 0.5151 0.1390 0.1858
O14 O 0.5222 0.6076 0.7331
O15 O 0.5903 0.3336 0.0722
O16 O 0.6076 0.7331 0.5222
O17 O 0.6664 0.9278 0.4097
O18 O 0.7127 0.8526 0.0247
O19 O 0.7331 0.5222 0.6076
O20 O 0.8142 0.4849 0.8610
O21 O 0.8526 0.0247 0.7127
O22 O 0.8610 0.8142 0.4849
O23 O 0.9278 0.4097 0.6664
O24 O 0.9753 0.2873 0.1474
```


No. 4
Simulated XRD peak list of Li13Ge2 for Cu Kα (weighted mean of Kα1 and Kα2), from the GGA-PBE geometry in Alexandria.

Top 10 peaks for 2θ = 10–90°, in order of rising 2θ:
2θ 16.1, d 5.493, rel. 100; 2θ 22.5, d 3.952, rel. 49; 2θ 23.3, d 3.820, rel. 29; 2θ 27.8, d 3.208, rel. 25; 2θ 32.6, d 2.746, rel. 18; 2θ 36.1, d 2.491, rel. 26; 2θ 37.1, d 2.424, rel. 18; 2θ 40.0, d 2.255, rel. 30; 2θ 45.9, d 1.976, rel. 9; 2θ 49.0, d 1.859, rel. 11

```
data_Li13Ge2
_cell_length_a 7.6477
_cell_length_b 7.6477
_cell_length_c 7.6477
_cell_angle_alpha 62.23
_cell_angle_beta 62.23
_cell_angle_gamma 62.23
_space_group_name_H-M_alt 'P 1'
_space_group_IT_number 1
_space_group_name_Hall 'P 1'
loop_
_atom_site_label
_atom_site_type_symbol
_atom_site_fract_x
_atom_site_fract_y
_atom_site_fract_z
Li1 Li 0.0000 0.0000 0.0000
Li2 Li 0.0107 0.0107 0.6433
Li3 Li 0.0107 0.6433 0.0107
Li4 Li 0.2320 0.2320 0.5932
Li5 Li 0.2320 0.5932 0.2320
Li6 Li 0.3567 0.9893 0.9893
Li7 Li 0.4068 0.7680 0.7680
Li8 Li 0.5932 0.2320 0.2320
Li9 Li 0.6433 0.0107 0.0107
Li10 Li 0.7680 0.4068 0.7680
Li11 Li 0.7680 0.7680 0.4068
Li12 Li 0.9893 0.3567 0.9893
Li13 Li 0.9893 0.9893 0.3567
Ge1 Ge 0.2357 0.2357 0.2357
Ge2 Ge 0.7643 0.7643 0.7643
```


No. 5
Simulated XRD peak list of La3Pm6Y for Cu Kα (weighted mean of Kα1 and Kα2), from the GGA-PBE geometry in Alexandria.

Top 10 peaks for 2θ = 10–90°, in order of rising 2θ:
2θ 22.5, d 3.959, rel. 15; 2θ 28.4, d 3.140, rel. 26; 2θ 30.6, d 2.918, rel. 100; 2θ 31.1, d 2.874, rel. 20; 2θ 31.4, d 2.848, rel. 51; 2θ 31.9, d 2.805, rel. 18; 2θ 32.2, d 2.780, rel. 16; 2θ 34.1, d 2.630, rel. 23; 2θ 36.8, d 2.442, rel. 14; 2θ 55.5, d 1.657, rel. 18

```
data_La3Pm6Y
_cell_length_a 6.4407
_cell_length_b 6.4407
_cell_length_c 9.0956
_cell_angle_alpha 98.40
_cell_angle_beta 98.40
_cell_angle_gamma 86.64
_space_group_name_H-M_alt 'P 1'
_space_group_IT_number 1
_space_group_name_Hall 'P 1'
loop_
_atom_site_label
_atom_site_type_symbol
_atom_site_fract_x
_atom_site_fract_y
_atom_site_fract_z
La1 La 0.0000 0.0000 0.0000
La2 La 0.2813 0.2813 0.7691
La3 La 0.7187 0.7187 0.2309
Pm1 Pm 0.1215 0.1215 0.3840
Pm2 Pm 0.1965 0.5596 0.1546
Pm3 Pm 0.4404 0.8035 0.8454
Pm4 Pm 0.5596 0.1965 0.1546
Pm5 Pm 0.8035 0.4404 0.8454
Pm6 Pm 0.8785 0.8785 0.6160
Y1 Y 0.5000 0.5000 0.5000
```


No. 6
Simulated XRD peak list of Ti11Ga9Ni4 for Cu Kα (weighted mean of Kα1 and Kα2), from the GGA-PBE geometry in Alexandria.

Top 10 peaks for 2θ = 10–90°, in order of rising 2θ:
2θ 29.5, d 3.031, rel. 18; 2θ 38.0, d 2.368, rel. 32; 2θ 39.3, d 2.291, rel. 37; 2θ 40.4, d 2.233, rel. 91; 2θ 41.2, d 2.190, rel. 100; 2θ 41.4, d 2.183, rel. 99; 2θ 43.4, d 2.083, rel. 33; 2θ 44.2, d 2.048, rel. 29; 2θ 61.2, d 1.515, rel. 29; 2θ 75.9, d 1.254, rel. 25

```
data_Ti11Ga9Ni4
_cell_length_a 11.4007
_cell_length_b 11.4007
_cell_length_c 3.0309
_cell_angle_alpha 90.00
_cell_angle_beta 90.00
_cell_angle_gamma 113.00
_space_group_name_H-M_alt 'P 1'
_space_group_IT_number 1
_space_group_name_Hall 'P 1'
loop_
_atom_site_label
_atom_site_type_symbol
_atom_site_fract_x
_atom_site_fract_y
_atom_site_fract_z
Ti1 Ti 0.0000 0.0000 0.0000
Ti2 Ti 0.0545 0.4084 0.0000
Ti3 Ti 0.1580 0.8420 0.0000
Ti4 Ti 0.3101 0.3101 0.0000
Ti5 Ti 0.3754 0.6246 0.0000
Ti6 Ti 0.4084 0.0545 0.0000
Ti7 Ti 0.5916 0.9455 0.0000
Ti8 Ti 0.6246 0.3754 0.0000
Ti9 Ti 0.6899 0.6899 0.0000
Ti10 Ti 0.8420 0.1580 0.0000
Ti11 Ti 0.9455 0.5916 0.0000
Ga1 Ga 0.0724 0.2175 0.5000
Ga2 Ga 0.1614 0.6294 0.5000
Ga3 Ga 0.2175 0.0724 0.5000
Ga4 Ga 0.3706 0.8386 0.5000
Ga5 Ga 0.5000 0.5000 0.5000
Ga6 Ga 0.6294 0.1614 0.5000
Ga7 Ga 0.7825 0.9276 0.5000
Ga8 Ga 0.8386 0.3706 0.5000
Ga9 Ga 0.9276 0.7825 0.5000
Ni1 Ni 0.2439 0.4471 0.5000
Ni2 Ni 0.4471 0.2439 0.5000
Ni3 Ni 0.5529 0.7561 0.5000
Ni4 Ni 0.7561 0.5529 0.5000
```


No. 7
Simulated XRD peak list of SmFe12B6 for Cu Kα (weighted mean of Kα1 and Kα2), from the GGA-PBE geometry in Alexandria.

Top 10 peaks for 2θ = 10–90°, in order of rising 2θ:
2θ 31.0, d 2.881, rel. 14; 2θ 32.4, d 2.766, rel. 38; 2θ 32.5, d 2.756, rel. 30; 2θ 41.0, d 2.201, rel. 56; 2θ 41.2, d 2.191, rel. 100; 2θ 46.5, d 1.952, rel. 23; 2θ 49.4, d 1.844, rel. 19; 2θ 58.0, d 1.591, rel. 19; 2θ 61.4, d 1.511, rel. 19; 2θ 63.8, d 1.459, rel. 11

```
data_SmFe12B6
_cell_length_a 6.0440
_cell_length_b 6.0440
_cell_length_c 6.0440
_cell_angle_alpha 104.31
_cell_angle_beta 104.31
_cell_angle_gamma 104.31
_space_group_name_H-M_alt 'P 1'
_space_group_IT_number 1
_space_group_name_Hall 'P 1'
loop_
_atom_site_label
_atom_site_type_symbol
_atom_site_fract_x
_atom_site_fract_y
_atom_site_fract_z
Sm1 Sm 0.0000 0.0000 0.0000
Fe1 Fe 0.1301 0.5000 0.8699
Fe2 Fe 0.1301 0.8699 0.5000
Fe3 Fe 0.1867 0.4546 0.4546
Fe4 Fe 0.4546 0.1867 0.4546
Fe5 Fe 0.4546 0.4546 0.1867
Fe6 Fe 0.5000 0.1301 0.8699
Fe7 Fe 0.5000 0.8699 0.1301
Fe8 Fe 0.5454 0.5454 0.8133
Fe9 Fe 0.5454 0.8133 0.5454
Fe10 Fe 0.8133 0.5454 0.5454
Fe11 Fe 0.8699 0.1301 0.5000
Fe12 Fe 0.8699 0.5000 0.1301
B1 B 0.2317 0.2317 0.6899
B2 B 0.2317 0.6899 0.2317
B3 B 0.3101 0.7683 0.7683
B4 B 0.6899 0.2317 0.2317
B5 B 0.7683 0.3101 0.7683
B6 B 0.7683 0.7683 0.3101
```


No. 8
Simulated XRD peak list of Pm3NiGe2 for Cu Kα (weighted mean of Kα1 and Kα2), from the GGA-PBE geometry in Alexandria.

Top 10 peaks for 2θ = 10–90°, in order of rising 2θ:
2θ 27.2, d 3.280, rel. 100; 2θ 38.5, d 2.337, rel. 38; 2θ 39.1, d 2.302, rel. 52; 2θ 48.3, d 1.884, rel. 16; 2θ 50.7, d 1.799, rel. 8; 2θ 52.9, d 1.732, rel. 16; 2θ 56.1, d 1.640, rel. 11; 2θ 63.8, d 1.458, rel. 12; 2θ 70.5, d 1.336, rel. 9; 2θ 78.2, d 1.222, rel. 9

```
data_Pm3NiGe2
_cell_length_a 7.3794
_cell_length_b 7.3794
_cell_length_c 7.3794
_cell_angle_alpha 65.41
_cell_angle_beta 65.41
_cell_angle_gamma 65.41
_space_group_name_H-M_alt 'P 1'
_space_group_IT_number 1
_space_group_name_Hall 'P 1'
loop_
_atom_site_label
_atom_site_type_symbol
_atom_site_fract_x
_atom_site_fract_y
_atom_site_fract_z
Pm1 Pm 0.0530 0.7500 0.4470
Pm2 Pm 0.2500 0.5530 0.9470
Pm3 Pm 0.4470 0.0530 0.7500
Pm4 Pm 0.5530 0.9470 0.2500
Pm5 Pm 0.7500 0.4470 0.0530
Pm6 Pm 0.9470 0.2500 0.5530
Ni1 Ni 0.0000 0.0000 0.0000
Ni2 Ni 0.5000 0.5000 0.5000
Ge1 Ge 0.1405 0.1405 0.1405
Ge2 Ge 0.3595 0.3595 0.3595
Ge3 Ge 0.6405 0.6405 0.6405
Ge4 Ge 0.8595 0.8595 0.8595
```


No. 9
Simulated XRD peak list of MgPt4Cl for Cu Kα (weighted mean of Kα1 and Kα2), from the GGA-PBE geometry in Alexandria.

Top 10 peaks for 2θ = 10–90°, in order of rising 2θ:
2θ 20.3, d 4.368, rel. 100; 2θ 39.5, d 2.281, rel. 90; 2θ 41.3, d 2.184, rel. 85; 2θ 48.1, d 1.891, rel. 36; 2θ 52.7, d 1.736, rel. 25; 2θ 63.9, d 1.456, rel. 29; 2θ 70.4, d 1.337, rel. 31; 2θ 74.1, d 1.279, rel. 19; 2θ 83.9, d 1.154, rel. 10; 2θ 85.1, d 1.141, rel. 34

```
data_MgPt4Cl
_cell_length_a 5.3497
_cell_length_b 5.3497
_cell_length_c 5.3497
_cell_angle_alpha 60.00
_cell_angle_beta 60.00
_cell_angle_gamma 60.00
_space_group_name_H-M_alt 'P 1'
_space_group_IT_number 1
_space_group_name_Hall 'P 1'
loop_
_atom_site_label
_atom_site_type_symbol
_atom_site_fract_x
_atom_site_fract_y
_atom_site_fract_z
Mg1 Mg 0.0000 0.0000 0.0000
Pt1 Pt 0.1242 0.6253 0.6253
Pt2 Pt 0.6253 0.1242 0.6253
Pt3 Pt 0.6253 0.6253 0.1242
Pt4 Pt 0.6253 0.6253 0.6253
Cl1 Cl 0.2500 0.2500 0.2500
```


No. 10
Simulated XRD peak list of Tb4Pm2Nd3 for Cu Kα (weighted mean of Kα1 and Kα2), from the GGA-PBE geometry in Alexandria.

Top 10 peaks for 2θ = 10–90°, in order of rising 2θ:
2θ 30.2, d 2.957, rel. 100; 2θ 35.0, d 2.560, rel. 51; 2θ 50.4, d 1.811, rel. 30; 2θ 50.5, d 1.809, rel. 6; 2θ 59.9, d 1.545, rel. 25; 2θ 59.9, d 1.543, rel. 18; 2θ 62.8, d 1.479, rel. 9; 2θ 81.9, d 1.176, rel. 7; 2θ 82.1, d 1.174, rel. 9; 2θ 84.7, d 1.145, rel. 10

```
data_Tb4Pm2Nd3
_cell_length_a 6.2680
_cell_length_b 6.2697
_cell_length_c 9.5779
_cell_angle_alpha 108.97
_cell_angle_beta 90.08
_cell_angle_gamma 119.96
_space_group_name_H-M_alt 'P 1'
_space_group_IT_number 1
_space_group_name_Hall 'P 1'
loop_
_atom_site_label
_atom_site_type_symbol
_atom_site_fract_x
_atom_site_fract_y
_atom_site_fract_z
Tb1 Tb 0.1104 0.3877 0.3323
Tb2 Tb 0.3321 0.1660 0.0001
Tb3 Tb 0.6679 0.8340 0.9999
Tb4 Tb 0.8896 0.6123 0.6677
Pm1 Pm 0.2223 0.2783 0.6673
Pm2 Pm 0.7777 0.7217 0.3327
Nd1 Nd 0.0000 0.5000 0.0000
Nd2 Nd 0.4454 0.0565 0.3323
Nd3 Nd 0.5546 0.9435 0.6677
```


No. 11
Simulated XRD peak list of SmB2Pt6 for Cu Kα (weighted mean of Kα1 and Kα2), from the GGA-PBE geometry in Alexandria.

Top 10 peaks for 2θ = 10–90°, in order of rising 2θ:
2θ 18.2, d 4.870, rel. 20; 2θ 32.2, d 2.779, rel. 28; 2θ 36.9, d 2.435, rel. 100; 2θ 37.3, d 2.414, rel. 32; 2θ 45.9, d 1.977, rel. 20; 2θ 49.8, d 1.831, rel. 52; 2θ 60.3, d 1.535, rel. 16; 2θ 66.5, d 1.406, rel. 19; 2θ 75.8, d 1.255, rel. 15; 2θ 79.4, d 1.207, rel. 22

```
data_SmB2Pt6
_cell_length_a 5.6239
_cell_length_b 5.6239
_cell_length_c 5.5578
_cell_angle_alpha 90.00
_cell_angle_beta 90.00
_cell_angle_gamma 120.00
_space_group_name_H-M_alt 'P 1'
_space_group_IT_number 1
_space_group_name_Hall 'P 1'
loop_
_atom_site_label
_atom_site_type_symbol
_atom_site_fract_x
_atom_site_fract_y
_atom_site_fract_z
Sm1 Sm 0.0000 0.0000 0.0000
B1 B 0.3333 0.6667 0.5000
B2 B 0.6667 0.3333 0.5000
Pt1 Pt 0.0000 0.5000 0.2461
Pt2 Pt 0.0000 0.5000 0.7539
Pt3 Pt 0.5000 0.0000 0.2461
Pt4 Pt 0.5000 0.0000 0.7539
Pt5 Pt 0.5000 0.5000 0.2461
Pt6 Pt 0.5000 0.5000 0.7539
```


No. 12
Simulated XRD peak list of TePt5 for Cu Kα (weighted mean of Kα1 and Kα2), from the GGA-PBE geometry in Alexandria.

Top 10 peaks for 2θ = 10–90°, in order of rising 2θ:
2θ 38.4, d 2.346, rel. 100; 2θ 43.1, d 2.099, rel. 18; 2θ 43.2, d 2.092, rel. 18; 2θ 47.4, d 1.919, rel. 14; 2θ 62.7, d 1.482, rel. 12; 2θ 65.9, d 1.417, rel. 10; 2θ 75.8, d 1.254, rel. 14; 2θ 76.1, d 1.251, rel. 13; 2θ 82.0, d 1.175, rel. 11; 2θ 82.2, d 1.173, rel. 11

```
data_TePt5
_cell_length_a 6.5627
_cell_length_b 6.5627
_cell_length_c 4.1989
_cell_angle_alpha 90.00
_cell_angle_beta 90.00
_cell_angle_gamma 145.99
_space_group_name_H-M_alt 'P 1'
_space_group_IT_number 1
_space_group_name_Hall 'P 1'
loop_
_atom_site_label
_atom_site_type_symbol
_atom_site_fract_x
_atom_site_fract_y
_atom_site_fract_z
Te1 Te 0.0000 0.0000 0.0000
Pt1 Pt 0.1727 0.8273 0.5000
Pt2 Pt 0.3345 0.6655 0.0000
Pt3 Pt 0.5000 0.5000 0.5000
Pt4 Pt 0.6655 0.3345 0.0000
Pt5 Pt 0.8273 0.1727 0.5000
```